Starting from a crystal structure in the Materials Project, relaxed with GGA-PBE, the powder diffraction line list of CaSn2O4 was calculated for Cu Kα.

The 10 most intense peaks (2θ from 10° to 80°), by angle:
| hkl | d (Å) | 2θ/deg | Rel. int. |
| --- | --- | --- | --- |
| 0 0 3 | 5.751 | 15.41 | 65 |
| 1 0 4 | 3.464 | 25.72 | 55 |
| 0 1 5 | 2.967 | 30.12 | 50 |
| 1 1 3 | 2.899 | 30.84 | 82 |
| 0 2 1 | 2.866 | 31.20 | 100 |
| 2 0 2 | 2.755 | 32.50 | 43 |
| 0 2 4 | 2.411 | 37.30 | 44 |
| 0 2 7 | 1.880 | 48.42 | 39 |
| 2 0 8 | 1.732 | 52.86 | 51 |
| 2 2 0 | 1.678 | 54.69 | 50 |

Structural model:
a b c (Å): 6.7131 6.7131 17.2530
angles (deg): 90.00 90.00 120.00
Space group R3m (No. 160, hexagonal axes)
Unique sites:
Ca  0.0000  0.0000  0.0000 (multiplicity 3)
Ca  0.0000  0.0000  0.3790 (multiplicity 3)
Sn  0.0000  0.0000  0.6201 (multiplicity 3)
Sn  0.1681  0.3362  0.8327 (multiplicity 9)
O  0.0000  0.0000  0.2353 (multiplicity 3)
O  0.0000  0.0000  0.7750 (multiplicity 3)
O  0.0331  0.5166  0.7614 (multiplicity 9)
O  0.1834  0.3668  0.5684 (multiplicity 9)